Theoretical X-ray diffraction stick pattern
Compound: LiFePO4
Radiation: λ = 1.5418 Å (Cu Kα)
Structure: a cell relaxed with GGA+U
Peak positions follow from Bragg's law for the DFT cell and can differ from measured ones.

Largest 10 diffraction maxima, by angle, 15 to 90 degrees two-theta:
2θ/deg  I_rel
20.3  37
21.7  100
22.1  29
25.6  95
27.3  22
31.4  94
34.0  85
38.7  29
48.8  42
65.6  47

Structure:
```
42
Lattice="6.9717 4.0251 3.1263 -6.9717 4.0251 3.1263 0.0000 -8.0503 3.1263" Properties=species:S:1:pos:R:3 pbc="T T T"
Li -1.1850 -5.5086 3.1263
Li -4.1781 3.7806 3.1263
Li -2.7661 0.1034 4.6687
Li 1.2935 -2.4472 4.6687
Li 1.4726 2.3438 4.6687
Li 5.3631 1.7281 3.1263
Fe -5.7329 1.4556 4.6533
Fe 1.6059 -5.6926 4.6533
Fe -1.5980 -2.3619 6.2516
Fe -1.2464 2.5648 6.2516
Fe 2.8444 -0.2030 6.2516
Fe 4.1270 4.2371 4.6533
P -5.4176 -1.6571 4.6307
P -1.4959 -2.3920 3.0872
P -1.3236 2.4915 3.0872
P 2.8195 -0.0995 3.0872
P 4.1439 -3.8632 4.6307
P 1.2737 5.5203 4.6307
O -2.1630 -3.7949 2.9879
O -4.6989 -0.2800 4.5739
O -4.9588 -2.4360 5.9020
O -2.2730 1.2609 3.1568
O 0.0445 -2.5990 3.1568
O -1.9639 -1.6639 4.3764
O -0.4134 -5.6750 4.9541
O -2.2050 3.7707 2.9879
O -4.7080 3.1955 4.9541
O 2.5919 -3.9293 4.5740
O -0.4590 2.5327 4.3764
O 2.2285 1.3381 3.1568
O -2.2697 0.8205 6.4695
O 2.4229 -0.8688 4.3764
O -2.2789 -1.2998 7.8302
O 0.4243 -2.3759 6.4695
O 4.3680 0.0243 2.9879
O 2.1070 4.2093 4.5740
O 4.5890 -3.0765 5.9020
O 0.3698 5.5124 5.9020
O 1.8454 1.5554 6.4696
O 2.2651 -1.3237 7.8302
O 0.0138 2.6234 7.8302
O 5.1214 2.4795 4.9541
```



Theoretical X-ray diffraction stick pattern
Compound: LiFe2P3O12
Radiation: λ = 1.5418 Å (Cu Kα)
Structure: a cell relaxed with GGA+U
Peak positions follow from Bragg's law for the DFT cell and can differ from measured ones.

Largest 10 diffraction maxima, by angle, 15 to 90 degrees two-theta:
2θ/deg  I_rel
19.6  28
19.7  68
20.7  27
23.7  22
23.9  100
24.0  21
28.6  28
28.8  44
31.5  39
31.6  26

Structure:
```
36
Lattice="8.5341 0.0000 0.0000 -4.2452 7.4470 0.0000 -4.2334 -2.4314 7.5851" Properties=species:S:1:pos:R:3 pbc="T T T"
Li -2.4157 2.3282 2.6591
Li 2.4712 2.6873 4.9260
Fe -4.1776 5.0156 4.2492
Fe 0.0725 2.4253 0.5304
Fe -0.0170 2.5903 7.0547
Fe 4.2330 0.0000 3.3359
P -7.2166 5.3412 5.6958
P -1.8421 4.9821 1.8816
P -3.0037 2.1599 5.6480
P 3.0591 2.8557 1.9370
P 1.8975 0.0335 5.7035
P 7.2720 -0.3257 1.8893
O -2.6504 5.2258 0.5897
O -2.9917 1.3207 4.3290
O -3.3416 -1.4473 7.0285
O -0.9859 1.1972 1.8337
O -0.4201 -0.9503 3.0217
O -5.7258 5.5754 5.3846
O -4.0297 3.3113 5.4008
O -2.7568 4.3428 2.9730
O -3.4652 1.3356 6.8417
O -0.7805 3.9088 1.5792
O -1.2490 6.3123 2.3348
O 1.6401 2.3082 1.7389
O -1.5847 2.7074 5.8462
O 1.3045 -1.2968 5.2503
O 0.8359 1.1068 6.0059
O 3.5206 3.6799 0.7434
O 2.8123 0.6727 4.6120
O 4.0852 1.7043 2.1843
O 5.7812 -0.5599 2.2005
O 0.4755 5.9659 4.5633
O 1.0413 3.8184 5.7514
O 3.3970 6.4628 0.5566
O 3.0471 3.6948 3.2561
O 2.7059 -0.2102 6.9954
```



Theoretical X-ray diffraction stick pattern
Compound: Li3FeP8O24
Radiation: λ = 1.5418 Å (Cu Kα)
Structure: a cell relaxed with GGA+U
Peak positions follow from Bragg's law for the DFT cell and can differ from measured ones.

Largest 10 diffraction maxima, by angle, 15 to 90 degrees two-theta:
2θ/deg  I_rel
16.9  17
19.0  81
20.5  54
26.0  39
27.3  70
27.6  40
29.3  100
34.2  23
37.2  20
42.5  16

Structure:
```
36
Lattice="5.9837 -4.1873 0.0000 5.9837 4.1873 0.0000 -4.8705 0.0000 8.8776" Properties=species:S:1:pos:R:3 pbc="T T T"
Li 0.0000 0.0000 0.0000
Li 1.6912 -1.5793 2.1276
Li 5.4057 -1.5793 6.7500
Fe 3.5485 -3.2906 4.4388
P 4.6263 2.4704 2.4649
P 2.4707 2.4704 6.4127
P 3.3728 0.5796 0.5861
P 0.8769 0.3821 4.8759
P 3.7242 0.5796 8.2915
P 6.2200 0.3821 4.0017
P 2.0777 -1.5206 6.8233
P 5.0192 -1.5206 2.0544
O 3.9816 3.6448 3.1434
O -0.4694 1.0693 5.0541
O 3.1153 3.6448 5.7342
O 1.3515 2.6661 7.3764
O -1.1719 1.1677 8.1258
O 3.3977 1.7026 1.7394
O 2.0653 -0.1476 0.6914
O 5.7455 2.6661 1.5012
O 2.0590 1.4125 5.2590
O 1.2222 -0.2181 3.5662
O 5.0379 1.4125 3.6186
O 3.6992 1.7026 7.1382
O 0.9105 -0.7440 6.0363
O 4.5893 -0.3961 1.0001
O 8.2689 1.1677 0.7518
O 2.5076 -0.3961 7.8775
O 3.8655 -1.8280 3.0055
O 7.5664 1.0693 3.8235
O 6.1864 -0.7440 2.8413
O 3.2314 -1.8280 5.8721
O 5.8747 -0.2181 5.3114
O 1.4653 -2.6635 7.5538
O 5.0317 -0.1476 8.1862
O 5.6317 -2.6635 1.3238
```



Theoretical X-ray diffraction stick pattern
Compound: Li2Fe5P4O16
Radiation: λ = 1.5418 Å (Cu Kα)
Structure: a cell relaxed with GGA+U
Peak positions follow from Bragg's law for the DFT cell and can differ from measured ones.

Largest 10 diffraction maxima, by angle, 15 to 90 degrees two-theta:
2θ/deg  I_rel
18.7  90
19.7  100
23.6  51
24.4  50
26.9  72
27.7  43
29.0  59
32.1  45
34.5  58
36.4  97

Structure:
```
27
Lattice="5.2350 0.0000 0.0000 1.8398 7.9866 0.0000 0.1121 3.4218 7.7771" Properties=species:S:1:pos:R:3 pbc="T T T"
Li 1.1369 4.1080 1.8467
Li 6.0500 7.3005 5.9304
Fe 0.9390 3.0796 5.0685
Fe 3.4704 6.6172 1.6116
Fe 3.5374 3.9933 0.0000
Fe 3.7165 4.7912 6.1655
Fe 6.2479 8.3289 2.7086
P 1.0732 1.6171 0.0680
P 3.4529 7.7156 4.5615
P 3.7340 3.6929 3.2156
P 6.1137 9.7914 7.7091
O 0.7293 0.6067 1.1662
O 2.0250 5.6372 0.5298
O 2.5953 7.0878 3.4086
O 3.0062 9.1594 4.7510
O 1.8477 4.2877 6.6239
O 2.0145 2.7168 0.6115
O 2.2258 3.8575 3.4953
O 3.0364 6.9157 5.8618
O 4.1505 4.4927 1.9153
O 4.9611 7.5509 4.2818
O 5.1725 8.6916 7.1656
O 5.3392 7.1208 1.1532
O 4.1807 2.2491 3.0261
O 4.5916 4.3207 4.3685
O 5.1620 5.7712 7.2473
O 6.4576 10.8017 6.6109
```



Theoretical X-ray diffraction stick pattern
Compound: LiFePO4
Radiation: λ = 1.5418 Å (Cu Kα)
Structure: a cell relaxed with GGA+U
Peak positions follow from Bragg's law for the DFT cell and can differ from measured ones.

Largest 10 diffraction maxima, by angle, 15 to 90 degrees two-theta:
2θ/deg  I_rel
18.1  84
23.3  72
28.5  61
29.7  100
32.7  38
37.1  25
39.3  22
40.5  54
44.0  24
50.6  32

Structure:
```
42
Lattice="7.6467 0.0000 0.0000 -3.8234 6.6223 0.0000 0.0000 0.0000 9.7777" Properties=species:S:1:pos:R:3 pbc="T T T"
Li -1.8635 3.9680 0.0000
Li 1.3187 3.0244 0.0000
Li 1.9599 2.6542 4.8888
Li 0.5448 6.2521 0.0000
Li 4.3682 0.3702 4.8888
Li 5.1421 3.5979 4.8888
Fe -0.6526 1.9046 7.5767
Fe -1.8476 6.2352 7.5767
Fe 1.9757 0.3871 2.6879
Fe 2.5003 5.1048 7.5767
Fe 3.1708 4.7177 2.6879
Fe 6.3236 1.5175 2.6879
P 0.0000 0.0000 0.1306
P 0.0000 0.0000 5.0194
P 0.0000 4.4149 2.7121
P 0.0000 4.4149 6.6468
P 3.8234 2.2074 1.7580
P 3.8234 2.2074 7.6009
O 0.0000 0.0000 1.7340
O 0.0000 0.0000 6.6228
O -2.6123 5.7988 9.4141
O -1.0422 3.3928 3.2690
O 0.1076 1.4605 9.4141
O -1.3991 4.8805 6.1454
O 1.2110 0.8234 4.5253
O 0.2963 2.9704 6.1454
O 0.0000 4.4149 1.1642
O 0.0000 4.4149 8.2044
O -0.3641 5.8285 3.2690
O 2.4243 1.7418 1.2566
O 1.4063 4.0233 3.2690
O 3.4593 0.7938 8.1579
O 1.1028 5.3937 6.1454
O 2.7812 3.2295 8.1579
O 3.8234 2.2074 3.3156
O 3.8234 2.2074 6.0530
O 4.9261 1.2286 1.2566
O 2.5047 5.9852 9.4141
O 4.1197 3.6519 1.2566
O 6.3281 0.6371 4.5253
O 5.2296 2.5990 8.1579
O 3.9310 5.1618 4.5253
```



Theoretical X-ray diffraction stick pattern
Compound: LiFePO4
Radiation: λ = 1.5418 Å (Cu Kα)
Structure: a cell relaxed with GGA+U
Peak positions follow from Bragg's law for the DFT cell and can differ from measured ones.

Largest 10 diffraction maxima, by angle, 15 to 90 degrees two-theta:
2θ/deg  I_rel
18.6  100
19.8  48
20.0  31
21.9  74
22.1  38
34.4  36
34.6  28
34.9  26
36.2  16
52.1  13

Structure:
```
14
Lattice="5.1407 0.0000 0.0000 2.4985 4.4967 0.0000 0.0020 0.0523 9.5523" Properties=species:S:1:pos:R:3 pbc="T T T"
Li 0.0000 0.0000 0.0000
Li 2.7867 4.4886 4.7713
Fe 2.8222 1.5197 5.9542
Fe 5.1132 2.9693 1.1792
P 2.5288 1.5065 9.3686
P 5.4047 3.0291 4.5892
O 0.9740 1.7187 5.0356
O 1.8096 2.7680 0.2399
O 1.8140 0.2507 0.5049
O 2.4543 1.3171 7.8501
O 3.9068 2.9723 5.0321
O 4.0200 1.5148 0.2739
O 5.4982 3.2014 3.0697
O 6.1109 4.2400 5.2715
```